1.
Structure and simulated X-ray diffraction stick pattern of Ac2MgSb4 (DFT lattice parameters and positions (GGA-PBE); Cu Kα (λ = 1.5418 Å)).
Kinematic intensities with the Lorentz-polarization factor, no thermal factor.

Structural model:
Cell lengths 4.448, 4.448, 11.794 Å; angles 90.00, 90.00, 90.00 degrees
Fractional coordinates of all 7 atoms:
Ac (0.000, 0.500, 0.234)
Ac (0.500, 0.000, 0.766)
Mg (0.000, 0.000, 0.500)
Sb (0.000, 0.000, 0.000)
Sb (0.000, 0.500, 0.656)
Sb (0.500, 0.000, 0.344)
Sb (0.500, 0.500, 0.000)

Largest 10 diffraction maxima, in order of falling intensity, 2θ from 15° to 90°:
h k l  two_theta  I/Imax
1 1 2  32.26  100
0 0 4  30.34  52
2 0 0  40.56  39
1 0 5  43.43  32
2 0 4  51.48  30
1 0 2  25.08  30
1 0 1  21.35  24
3 1 2  68.59  23
2 1 5  60.93  22
1 1 1  29.39  19


2.
Structure and simulated X-ray diffraction stick pattern of AcMgSb (DFT lattice parameters and positions (GGA-PBE); Cu Kα (λ = 1.5418 Å)).
Kinematic intensities with the Lorentz-polarization factor, no thermal factor.

Structural model:
Cell lengths 4.876, 4.876, 4.474 Å; angles 90.00, 90.00, 120.00 degrees
Fractional coordinates of all 3 atoms:
Ac (0.000, 0.000, 0.000)
Mg (0.333, 0.667, 0.500)
Sb (0.667, 0.333, 0.500)

Largest 10 diffraction maxima, in order of falling intensity, 2θ from 15° to 90°:
h k l  two_theta  I/Imax
1 0 1  29.08  100
1 1 0  36.87  39
1 0 0  21.04  33
2 0 1  47.63  26
2 1 1  61.71  24
1 1 2  55.77  24
3 0 0  66.46  17
2 2 0  78.50  11
0 0 2  40.32  10
3 1 1  85.76  10


3.
Structure and simulated X-ray diffraction stick pattern of AcMgSc (DFT lattice parameters and positions (GGA-PBE); Cu Kα (λ = 1.5418 Å)).
Kinematic intensities with the Lorentz-polarization factor, no thermal factor.

Structural model:
Cell lengths 3.838, 3.838, 12.541 Å; angles 90.00, 90.00, 90.00 degrees
Fractional coordinates of all 6 atoms:
Ac (0.000, 0.000, 0.000)
Ac (0.500, 0.500, 0.500)
Mg (0.000, 0.000, 0.689)
Mg (0.500, 0.500, 0.189)
Sc (0.000, 0.000, 0.313)
Sc (0.500, 0.500, 0.813)

Largest 10 diffraction maxima, in order of falling intensity, 2θ from 15° to 90°:
h k l  two_theta  I/Imax
1 0 3  31.65  100
1 0 1  24.25  89
1 1 0  33.00  47
2 1 3  58.09  36
1 1 2  36.06  25
1 1 4  44.13  25
2 1 1  53.91  22
0 0 4  28.47  20
1 1 6  55.49  18
2 0 0  47.37  17